# TbMgAg4
Calculated PXRD pattern, Cu Kα X-rays. Input: DFT lattice parameters and positions (GGA-PBE).
No peak broadening, texture or thermal motion is included.

Top 6 peaks for 2θ = 10–90°, sorted by position:
19.50 deg, I = 23.4, (0 0 3); 32.12 deg, I = 19.5, (1 1 0); 37.85 deg, I = 100.0, (1 1 3); 39.60 deg, I = 47.9, (2 0 2); 61.08 deg, I = 31.6, (1 2 5); 67.18 deg, I = 26.0, (2 2 0)

Structure:
abc: 5.5752 5.5752 13.6478
angles: 90.00 90.00 120.00
Space group R3m (No. 160, hexagonal axes)
Unique sites:
Tb: 0.0000 0.0000 0.0000
Mg: 0.0000 0.0000 0.2505
Ag: 0.0000 0.0000 0.6243
Ag: 0.0011 0.5006 0.1250